# La2DyCu6
Calculated X-ray powder pattern, Cu Ka. Input: a structure optimized by DFT (PBE).
Intensities are scaled so that the largest is 100.

The 12 most intense peaks (2θ = 15–90°), sorted by position:
d = 3.724 Å, 2θ = 23.9°, I = 15, hkl 1 1 0; d = 2.645 Å, 2θ = 33.9°, I = 100, hkl 1 1 1; d = 2.150 Å, 2θ = 42.0°, I = 48, hkl 3 0 0; d = 1.879 Å, 2θ = 48.5°, I = 10, hkl 0 0 2; d = 1.862 Å, 2θ = 48.9°, I = 2, hkl 2 2 0; d = 1.677 Å, 2θ = 54.7°, I = 3, hkl 1 1 2; d = 1.668 Å, 2θ = 55.0°, I = 24, hkl 2 2 1; d = 1.415 Å, 2θ = 66.0°, I = 24, hkl 3 0 2; d = 1.318 Å, 2θ = 71.6°, I = 22, hkl 4 1 1; d = 1.241 Å, 2θ = 76.8°, I = 8, hkl 3 3 0; d = 1.187 Å, 2θ = 81.0°, I = 8, hkl 1 1 3; d = 1.126 Å, 2θ = 86.4°, I = 2, hkl 4 1 2

```
La2DyCu6
1.0
7.447 0.000 0.000
-3.724 6.450 0.000
0.000 0.000 3.757
La Dy Cu
2 1 6
direct
0.333 0.667 0.000
0.667 0.333 0.000
0.000 0.000 0.000
0.000 0.330 0.500
0.000 0.670 0.500
0.330 0.000 0.500
0.330 0.330 0.500
0.670 0.000 0.500
0.670 0.670 0.500
```

# Nd4TlIn
Calculated X-ray powder pattern, Cu Ka. Input: a structure optimized by DFT (PBE).
Intensities are scaled so that the largest is 100.

The 12 most intense peaks (2θ = 15–90°), sorted by position:
d = 2.834 Å, 2θ = 31.6°, I = 45, hkl 0 2 2; d = 2.823 Å, 2θ = 31.7°, I = 97, hkl 1 2 1; d = 2.794 Å, 2θ = 32.0°, I = 100, hkl 1 0 3; d = 2.762 Å, 2θ = 32.4°, I = 53, hkl 2 0 0; d = 2.181 Å, 2θ = 41.4°, I = 16, hkl 1 2 3; d = 1.993 Å, 2θ = 45.5°, I = 15, hkl 0 2 4; d = 1.978 Å, 2θ = 45.9°, I = 32, hkl 2 2 -2; d = 1.618 Å, 2θ = 56.9°, I = 15, hkl 0 0 6; d = 1.606 Å, 2θ = 57.4°, I = 19, hkl 3 2 1; d = 1.601 Å, 2θ = 57.6°, I = 19, hkl 3 0 3; d = 1.480 Å, 2θ = 62.8°, I = 28, hkl 1 4 3; d = 1.475 Å, 2θ = 63.0°, I = 15, hkl 2 4 0

```
Nd4TlIn
1.0
5.523 0.000 0.000
0.000 6.979 0.000
-0.010 0.000 9.715
Nd Tl In
8 2 2
direct
0.250 0.010 0.226
0.250 0.250 0.903
0.250 0.490 0.226
0.250 0.750 0.577
0.750 0.250 0.423
0.750 0.510 0.774
0.750 0.750 0.097
0.750 0.990 0.774
0.250 0.250 0.579
0.750 0.750 0.421
0.250 0.750 0.913
0.750 0.250 0.087
```

# AsRuF
Calculated X-ray powder pattern, Cu Ka. Input: a structure optimized by DFT (PBE).
Intensities are scaled so that the largest is 100.

The 12 most intense peaks (2θ = 15–90°), sorted by position:
d = 2.487 Å, 2θ = 36.1°, I = 18, hkl 1 0 2; d = 2.380 Å, 2θ = 37.8°, I = 27, hkl 2 1 1; d = 2.283 Å, 2θ = 39.5°, I = 25, hkl 0 2 1; d = 2.233 Å, 2θ = 40.4°, I = 57, hkl 2 0 -2; d = 2.227 Å, 2θ = 40.5°, I = 64, hkl 1 1 2; d = 2.182 Å, 2θ = 41.4°, I = 100, hkl 1 2 -1; d = 2.173 Å, 2θ = 41.6°, I = 23, hkl 3 0 0; d = 1.993 Å, 2θ = 45.5°, I = 21, hkl 3 1 0; d = 1.905 Å, 2θ = 47.7°, I = 20, hkl 2 2 -1; d = 1.880 Å, 2θ = 48.4°, I = 17, hkl 2 1 2; d = 1.836 Å, 2θ = 49.6°, I = 18, hkl 2 2 1; d = 1.749 Å, 2θ = 52.3°, I = 16, hkl 0 1 3

```
AsRuF
1.0
6.549 0.000 0.000
0.000 5.001 0.000
-0.542 0.000 5.600
As Ru F
4 4 4
direct
0.183 0.168 0.469
0.183 0.332 0.969
0.817 0.668 0.031
0.817 0.832 0.531
0.118 0.643 0.345
0.118 0.857 0.845
0.882 0.143 0.155
0.882 0.357 0.655
0.364 0.681 0.667
0.364 0.819 0.167
0.636 0.181 0.833
0.636 0.319 0.333
```